Computed powder XRD pattern of NaCuSe for Cu Kα, from a cell relaxed with GGA-PBE.
Peak positions follow from Bragg's law for the DFT cell and can differ from measured ones.

Structure:
Unit cell a=4.088 b=4.088 c=6.875 alpha=90.00 beta=90.00 gamma=90.00
Element x y z (fractional)
Na  0.250  0.250  0.162
Na  0.750  0.750  0.838
Cu  0.250  0.750  0.500
Cu  0.750  0.250  0.500
Se  0.250  0.250  0.723
Se  0.750  0.750  0.277

Largest 8 diffraction maxima, low angle first, 10° ≤ 2θ ≤ 80°:
2θ = 12.9°, I 866
2θ = 25.3°, I 497
2θ = 33.6°, I 340
2θ = 34.1°, I 161
2θ = 40.8°, I 1000
2θ = 44.3°, I 486
2θ = 45.4°, I 156
2θ = 79.2°, I 261

Computed powder XRD pattern of Ce2SO2 for Cu Kα, from a cell relaxed with GGA-PBE.
Peak positions follow from Bragg's law for the DFT cell and can differ from measured ones.

Structure:
Unit cell a=3.952 b=3.952 c=6.798 alpha=90.00 beta=90.00 gamma=120.00
Element x y z (fractional)
Ce  0.333  0.667  0.220
Ce  0.667  0.333  0.780
S  0.000  0.000  0.500
O  0.333  0.667  0.871
O  0.667  0.333  0.129

Largest 8 diffraction maxima, low angle first, 10° ≤ 2θ ≤ 80°:
2θ = 26.0°, I 195
2θ = 26.2°, I 219
2θ = 29.2°, I 1000
2θ = 37.3°, I 305
2θ = 45.9°, I 324
2θ = 48.2°, I 252
2θ = 53.6°, I 187
2θ = 55.4°, I 169

Computed powder XRD pattern of SnCl2 for Cu Kα, from a cell relaxed with GGA-PBE.
Peak positions follow from Bragg's law for the DFT cell and can differ from measured ones.

Structure:
Unit cell a=8.046 b=4.354 c=10.056 alpha=90.00 beta=90.00 gamma=90.00
Element x y z (fractional)
Sn  0.229  0.250  0.051
Sn  0.271  0.750  0.551
Sn  0.729  0.250  0.449
Sn  0.771  0.750  0.949
Cl  0.009  0.250  0.857
Cl  0.147  0.250  0.411
Cl  0.353  0.750  0.911
Cl  0.491  0.750  0.357
Cl  0.509  0.250  0.643
Cl  0.647  0.250  0.089
Cl  0.853  0.750  0.589
Cl  0.991  0.750  0.143

Largest 8 diffraction maxima, low angle first, 10° ≤ 2θ ≤ 80°:
2θ = 17.6°, I 784
2θ = 22.1°, I 329
2θ = 24.9°, I 1000
2θ = 28.4°, I 505
2θ = 31.6°, I 341
2θ = 33.7°, I 413
2θ = 40.5°, I 447
2θ = 40.7°, I 505

Computed powder XRD pattern of Cs2SiH2O4 for Cu Kα, from a cell relaxed with GGA-PBE.
Peak positions follow from Bragg's law for the DFT cell and can differ from measured ones.

Structure:
Unit cell a=6.018 b=6.264 c=8.846 alpha=76.53 beta=71.14 gamma=86.39
Element x y z (fractional)
Cs  0.088  0.151  0.293
Cs  0.261  0.737  0.027
Cs  0.739  0.263  0.973
Cs  0.912  0.849  0.707
Si  0.374  0.345  0.716
Si  0.626  0.655  0.284
H  0.200  0.495  0.532
H  0.449  0.697  0.590
H  0.551  0.303  0.410
H  0.800  0.505  0.468
O  0.148  0.378  0.633
O  0.268  0.226  0.908
O  0.402  0.762  0.400
O  0.441  0.612  0.704
O  0.559  0.388  0.296
O  0.598  0.238  0.600
O  0.732  0.774  0.092
O  0.852  0.622  0.367

Largest 8 diffraction maxima, low angle first, 10° ≤ 2θ ≤ 80°:
2θ = 24.1°, I 577
2θ = 24.7°, I 469
2θ = 27.7°, I 761
2θ = 28.9°, I 769
2θ = 29.3°, I 1000
2θ = 29.8°, I 733
2θ = 32.9°, I 636
2θ = 40.7°, I 536

Computed powder XRD pattern of Li2VCl4 for Cu Kα, from a cell relaxed with GGA-PBE.
Peak positions follow from Bragg's law for the DFT cell and can differ from measured ones.

Structure:
Unit cell a=7.402 b=7.402 c=7.402 alpha=120.11 beta=119.73 gamma=90.14
Element x y z (fractional)
Li  0.000  0.000  0.500
Li  0.000  0.500  0.000
Li  0.384  0.134  0.250
Li  0.616  0.866  0.750
V  0.000  0.500  0.500
V  0.500  0.500  0.000
Cl  0.225  0.738  0.487
Cl  0.247  0.267  0.521
Cl  0.247  0.726  0.979
Cl  0.249  0.262  0.987
Cl  0.751  0.738  0.013
Cl  0.753  0.274  0.021
Cl  0.753  0.733  0.479
Cl  0.775  0.262  0.513

Largest 8 diffraction maxima, low angle first, 10° ≤ 2θ ≤ 80°:
2θ = 14.7°, I 636
2θ = 28.2°, I 161
2θ = 29.5°, I 215
2θ = 29.6°, I 210
2θ = 34.3°, I 1000
2θ = 45.0°, I 185
2θ = 49.0°, I 118
2θ = 49.3°, I 557

Computed powder XRD pattern of ErAlNi4 for Cu Kα, from a cell relaxed with GGA-PBE.
Peak positions follow from Bragg's law for the DFT cell and can differ from measured ones.

Structure:
Unit cell a=5.021 b=5.021 c=3.847 alpha=90.00 beta=90.00 gamma=120.00
Element x y z (fractional)
Er  0.000  0.000  0.000
Al  0.333  0.667  0.000
Ni  0.502  0.004  0.500
Ni  0.502  0.498  0.500
Ni  0.667  0.333  0.000
Ni  0.996  0.498  0.500

Largest 8 diffraction maxima, low angle first, 10° ≤ 2θ ≤ 80°:
2θ = 31.0°, I 824
2θ = 35.8°, I 299
2θ = 41.5°, I 533
2θ = 43.0°, I 1000
2θ = 47.3°, I 248
2θ = 61.3°, I 238
2θ = 64.7°, I 274
2θ = 69.3°, I 233

Computed powder XRD pattern of TlV2Cr3S8 for Cu Kα, from a cell relaxed with GGA-PBE.
Peak positions follow from Bragg's law for the DFT cell and can differ from measured ones.

Structure:
Unit cell a=8.976 b=8.976 c=8.725 alpha=103.20 beta=103.20 gamma=22.37
Element x y z (fractional)
Tl  0.000  0.000  0.000
V  0.490  0.490  0.499
V  0.849  0.849  0.516
Cr  0.156  0.156  0.474
Cr  0.201  0.201  0.829
Cr  0.791  0.791  0.160
S  0.071  0.071  0.649
S  0.261  0.261  0.341
S  0.326  0.326  0.007
S  0.411  0.411  0.679
S  0.584  0.584  0.332
S  0.668  0.668  0.983
S  0.737  0.737  0.649
S  0.924  0.924  0.330

Largest 8 diffraction maxima, low angle first, 10° ≤ 2θ ≤ 80°:
2θ = 20.9°, I 1000
2θ = 28.6°, I 331
2θ = 33.1°, I 794
2θ = 33.5°, I 368
2θ = 34.7°, I 456
2θ = 41.3°, I 580
2θ = 46.9°, I 397
2θ = 53.7°, I 429

Computed powder XRD pattern of PtCl2 for Cu Kα, from a cell relaxed with GGA-PBE.
Peak positions follow from Bragg's law for the DFT cell and can differ from measured ones.

Structure:
Unit cell a=13.124 b=3.456 c=8.219 alpha=90.00 beta=106.42 gamma=90.00
Element x y z (fractional)
Pt  0.030  0.000  0.253
Pt  0.470  0.500  0.747
Pt  0.530  0.500  0.253
Pt  0.970  0.000  0.747
Cl  0.092  0.500  0.769
Cl  0.152  0.500  0.277
Cl  0.348  0.000  0.723
Cl  0.408  0.000  0.231
Cl  0.592  0.000  0.769
Cl  0.652  0.000  0.277
Cl  0.848  0.500  0.723
Cl  0.908  0.500  0.231

Largest 8 diffraction maxima, low angle first, 10° ≤ 2θ ≤ 80°:
2θ = 14.1°, I 1000
2θ = 22.6°, I 731
2θ = 23.0°, I 416
2θ = 26.7°, I 249
2θ = 33.6°, I 313
2θ = 37.1°, I 214
2θ = 43.3°, I 150
2θ = 44.3°, I 151

Computed powder XRD pattern of Na2H6PtO6 for Cu Kα, from a cell relaxed with GGA-PBE.
Peak positions follow from Bragg's law for the DFT cell and can differ from measured ones.

Structure:
Unit cell a=5.918 b=5.918 c=4.616 alpha=90.00 beta=90.00 gamma=120.00
Element x y z (fractional)
Na  0.333  0.667  0.046
Na  0.667  0.333  0.954
H  0.140  0.815  0.593
H  0.185  0.325  0.593
H  0.325  0.140  0.407
H  0.675  0.860  0.593
H  0.815  0.675  0.407
H  0.860  0.185  0.407
Pt  0.000  0.000  0.000
O  0.015  0.721  0.752
O  0.279  0.295  0.752
O  0.295  0.015  0.248
O  0.705  0.985  0.752
O  0.721  0.705  0.248
O  0.985  0.279  0.248

Largest 8 diffraction maxima, low angle first, 10° ≤ 2θ ≤ 80°:
2θ = 17.3°, I 1000
2θ = 19.2°, I 393
2θ = 26.0°, I 594
2θ = 30.2°, I 268
2θ = 36.1°, I 594
2θ = 40.3°, I 206
2θ = 50.1°, I 266
2θ = 51.1°, I 207

Computed powder XRD pattern of Na3As for Cu Kα, from a cell relaxed with GGA-PBE.
Peak positions follow from Bragg's law for the DFT cell and can differ from measured ones.

Structure:
Unit cell a=7.174 b=7.174 c=7.174 alpha=90.00 beta=90.00 gamma=90.00
Element x y z (fractional)
Na  0.000  0.000  0.000
Na  0.000  0.500  0.500
Na  0.250  0.250  0.250
Na  0.250  0.250  0.750
Na  0.250  0.750  0.250
Na  0.250  0.750  0.750
Na  0.500  0.000  0.500
Na  0.500  0.500  0.000
Na  0.750  0.250  0.250
Na  0.750  0.250  0.750
Na  0.750  0.750  0.250
Na  0.750  0.750  0.750
As  0.000  0.000  0.500
As  0.000  0.500  0.000
As  0.500  0.000  0.000
As  0.500  0.500  0.500

Largest 8 diffraction maxima, low angle first, 10° ≤ 2θ ≤ 80°:
2θ = 21.5°, I 296
2θ = 24.8°, I 155
2θ = 35.4°, I 1000
2θ = 41.8°, I 155
2θ = 50.9°, I 169
2θ = 55.9°, I 67
2θ = 63.5°, I 331
2θ = 74.9°, I 98

Computed powder XRD pattern of NaMnCu3Se4 for Cu Kα, from a cell relaxed with GGA-PBE.
Peak positions follow from Bragg's law for the DFT cell and can differ from measured ones.

Structure:
Unit cell a=5.869 b=5.869 c=5.869 alpha=90.00 beta=90.00 gamma=90.00
Element x y z (fractional)
Na  0.000  0.000  0.000
Mn  0.500  0.500  0.500
Cu  0.000  0.500  0.500
Cu  0.500  0.000  0.500
Cu  0.500  0.500  0.000
Se  0.269  0.269  0.731
Se  0.269  0.731  0.269
Se  0.731  0.269  0.269
Se  0.731  0.731  0.731

Largest 8 diffraction maxima, low angle first, 10° ≤ 2θ ≤ 80°:
2θ = 15.1°, I 424
2θ = 26.3°, I 991
2θ = 43.6°, I 1000
2θ = 46.4°, I 90
2θ = 51.6°, I 410
2θ = 56.5°, I 113
2θ = 63.4°, I 146
2θ = 69.9°, I 145

Computed powder XRD pattern of Fe2CuS3 for Cu Kα, from a cell relaxed with GGA-PBE.
Peak positions follow from Bragg's law for the DFT cell and can differ from measured ones.

Structure:
Unit cell a=5.893 b=5.951 c=10.834 alpha=89.35 beta=89.51 gamma=60.55
Element x y z (fractional)
Fe  0.000  0.000  0.000
Fe  0.001  0.000  0.273
Fe  0.025  0.094  0.769
Fe  0.258  0.486  0.002
Fe  0.258  0.488  0.273
Fe  0.343  0.368  0.770
Fe  0.739  0.743  0.001
Fe  0.743  0.741  0.275
Cu  0.046  0.092  0.507
Cu  0.360  0.347  0.505
Cu  0.610  0.790  0.767
Cu  0.613  0.780  0.515
S  0.001  0.742  0.410
S  0.002  0.741  0.864
S  0.009  0.402  0.645
S  0.302  0.743  0.136
S  0.328  0.735  0.652
S  0.330  0.086  0.932
S  0.335  0.074  0.341
S  0.667  0.407  0.346
S  0.670  0.401  0.927
S  0.671  0.092  0.648
S  0.702  0.039  0.138
S  0.996  0.448  0.139

Largest 8 diffraction maxima, low angle first, 10° ≤ 2θ ≤ 80°:
2θ = 29.9°, I 490
2θ = 30.0°, I 527
2θ = 30.3°, I 499
2θ = 45.1°, I 503
2θ = 45.3°, I 1000
2θ = 45.5°, I 552
2θ = 45.7°, I 475
2θ = 53.6°, I 486